Simulated powder X-ray diffraction pattern of PrHoAsO for Cu Kα (λ = 1.5418 Å), from a PBE-relaxed structure.

Peak list (12 most intense, 2θ from 10° to 80°, by intensity)
- 3.773 Å, I 100
- 3.086 Å, I 75
- 3.219 Å, I 69
- 2.387 Å, I 58
- 2.848 Å, I 58
- 3.208 Å, I 44
- 2.182 Å, I 41
- 1.805 Å, I 37
- 2.171 Å, I 37
- 2.092 Å, I 34
- 1.782 Å, I 30
- 1.776 Å, I 29

Atomic structure:
Cell: 4.3642 7.5090 6.1720 Å, 90.00 90.00 90.00°
Element x y z (fractional)
1 Pr 0.0000 0.2029 0.0000
2 Pr 0.0000 0.7971 0.5000
3 Ho 0.5000 0.3930 0.5863
4 Ho 0.5000 0.6070 0.0863
5 As 0.0000 0.1853 0.4924
6 As 0.0000 0.8147 0.9924
7 O 0.5000 0.3407 0.9366
8 O 0.5000 0.6593 0.4366